For Sr8CuW3O18, a structure optimized by DFT (GGA+U) gives the computed powder diffractogram in this record (Cu Kα (λ = 1.5418 Å)).
Intensities are scaled so that the largest is 100.

Atomic structure:
Cell lengths 5.965, 10.512, 15.809 Å; angles 108.73, 100.86, 90.08 degrees
Atoms (fractional coordinates):
Sr1 0.000 0.000 0.000
Sr2 0.037 0.388 0.075
Sr3 0.084 0.786 0.156
Sr4 0.171 0.603 0.344
Sr5 0.248 0.307 0.497
Sr6 0.316 0.996 0.642
Sr7 0.375 0.385 0.741
Sr8 0.419 0.794 0.840
Sr9 0.511 0.588 0.005
Sr10 0.577 0.298 0.164
Sr11 0.662 0.965 0.306
Sr12 0.703 0.391 0.404
Sr13 0.744 0.793 0.491
Sr14 0.832 0.553 0.664
Sr15 0.871 0.901 0.745
Sr16 0.930 0.300 0.836
Cu1 0.219 0.989 0.426
Cu2 0.543 0.980 0.094
W1 0.117 0.135 0.241
W2 0.287 0.640 0.576
W3 0.464 0.134 0.907
W4 0.619 0.630 0.237
W5 0.780 0.137 0.569
W6 0.960 0.634 0.904
O1 0.001 0.734 0.822
O2 0.012 0.009 0.509
O3 0.016 0.222 0.674
O4 0.039 0.747 0.619
O5 0.068 0.524 0.467
O6 0.091 0.000 0.307
O7 0.158 0.218 0.154
O8 0.189 0.748 0.002
O9 0.203 0.511 0.865
O10 0.207 0.226 0.949
O11 0.225 0.511 0.639
O12 0.255 0.004 0.803
O13 0.341 0.759 0.509
O14 0.346 0.235 0.338
O15 0.346 0.999 0.182
O16 0.378 0.744 0.276
O17 0.407 0.004 0.983
O18 0.412 0.509 0.128
O19 0.517 0.742 0.681
O20 0.523 0.519 0.529
O21 0.524 0.235 0.833
O22 0.530 0.232 0.611
O23 0.538 0.513 0.304
O24 0.547 0.014 0.458
O25 0.681 0.739 0.164
O26 0.685 0.234 0.013
O27 0.698 0.006 0.873
O28 0.724 0.744 0.949
O29 0.726 0.000 0.626
O30 0.746 0.505 0.798
O31 0.837 0.746 0.340
O32 0.842 0.254 0.504
O33 0.866 0.509 0.204
O34 0.867 0.997 0.143
O35 0.870 0.230 0.282
O36 0.900 0.518 0.975

Main lines, low angle first (5° ≤ 2θ ≤ 70°):
| Position (°2θ) | I/Imax | index |
| --- | --- | --- |
| 18.16 | 39 | 0 0 3 |
| 29.56 | 100 | 1 3 -2 |
| 29.92 | 80 | 1 -1 4 |
| 29.96 | 40 | 2 0 -1 |
| 42.57 | 51 | -2 2 4 |
| 52.88 | 27 | 3 -3 0 |